1.
Theoretical powder XRD pattern of Ce3Be2Si4 for Cu Kα X-rays, from a structure optimized by DFT (PBE).
Neutral-atom scattering factors, no anomalous dispersion.

Atomic structure:
Lattice parameters (Å, degrees): 10.863 3.926 7.998 90.00 96.60 90.00
Space group C2/m (No. 12)
Inequivalent atoms, fractional coordinates:
Ce (0.000, 0.000, 0.000) (multiplicity 2)
Ce (0.165, 0.500, 0.667) (multiplicity 4)
Be (0.110, 0.500, 0.282) (multiplicity 4)
Si (0.061, 0.000, 0.384) (multiplicity 4)
Si (0.216, 0.500, 0.064) (multiplicity 4)

The 10 most intense peaks (2θ from 10° to 90°), most intense first:
- d 2.651, 2θ 33.81, intensity 100.0
- d 3.395, 2θ 26.25, intensity 51.7
- d 4.243, 2θ 20.94, intensity 19.1
- d 1.440, 2θ 64.75, intensity 18.9
- d 1.799, 2θ 50.75, intensity 17.5
- d 1.959, 2θ 46.35, intensity 17.2
- d 1.577, 2θ 58.53, intensity 13.4
- d 1.228, 2θ 77.81, intensity 11.6
- d 2.121, 2θ 42.62, intensity 11.2
- d 1.305, 2θ 72.39, intensity 10.8

---

2.
Theoretical powder XRD pattern of Ce2Be2Si3 for Cu Kα X-rays, from a structure optimized by DFT (PBE).
Neutral-atom scattering factors, no anomalous dispersion.

Atomic structure:
Lattice parameters (Å, degrees): 4.021 18.324 6.677 90.00 90.00 90.00
Space group Cmcm (No. 63)
Inequivalent atoms, fractional coordinates:
Ce (0.000, 0.046, 0.250) (multiplicity 4)
Ce (0.000, 0.172, 0.750) (multiplicity 4)
Be (0.000, 0.335, 0.593) (multiplicity 8)
Si (0.000, 0.206, 0.250) (multiplicity 4)
Si (0.000, 0.438, 0.074) (multiplicity 8)

The 10 most intense peaks (2θ from 10° to 90°), most intense first:
- d 2.510, 2θ 35.78, intensity 100.0
- d 2.544, 2θ 35.29, intensity 76.3
- d 3.777, 2θ 23.55, intensity 72.8
- d 3.338, 2θ 26.70, intensity 49.2
- d 3.927, 2θ 22.64, intensity 42.6
- d 3.000, 2θ 29.78, intensity 33.0
- d 1.721, 2θ 53.23, intensity 29.3
- d 2.002, 2θ 45.30, intensity 28.9
- d 1.596, 2θ 57.79, intensity 23.5
- d 2.010, 2θ 45.10, intensity 23.2

---

3.
Theoretical powder XRD pattern of CeTmBe for Cu Kα X-rays, from a structure optimized by DFT (PBE).
Neutral-atom scattering factors, no anomalous dispersion.

Atomic structure:
Lattice parameters (Å, degrees): 3.372 3.372 12.145 90.00 90.00 90.00
Space group I4mm (No. 107)
Inequivalent atoms, fractional coordinates:
Ce (0.000, 0.000, 0.000) (multiplicity 2)
Tm (0.000, 0.000, 0.276) (multiplicity 2)
Be (0.000, 0.000, 0.645) (multiplicity 2)

The 10 most intense peaks (2θ from 10° to 90°), most intense first:
- d 2.591, 2θ 34.62, intensity 100.0
- d 3.249, 2θ 27.45, intensity 93.1
- d 2.384, 2θ 37.73, intensity 53.0
- d 1.875, 2θ 48.55, intensity 42.9
- d 3.036, 2θ 29.42, intensity 42.3
- d 1.543, 2θ 59.96, intensity 31.3
- d 1.413, 2θ 66.13, intensity 30.6
- d 1.474, 2θ 63.07, intensity 19.6
- d 1.496, 2θ 62.02, intensity 19.1
- d 1.138, 2θ 85.27, intensity 18.5

---

4.
Theoretical powder XRD pattern of CeBeV for Cu Kα X-rays, from a structure optimized by DFT (PBE).
Neutral-atom scattering factors, no anomalous dispersion.

Atomic structure:
Lattice parameters (Å, degrees): 6.288 4.778 3.550 90.00 90.00 90.00
Space group Pmma (No. 51)
Inequivalent atoms, fractional coordinates:
Ce (0.250, 0.000, 0.186) (multiplicity 2)
Be (0.250, 0.500, 0.535) (multiplicity 2)
V (0.000, 0.500, 0.000) (multiplicity 2)

The 10 most intense peaks (2θ from 10° to 90°), most intense first:
- d 2.626, 2θ 34.14, intensity 100.0
- d 2.596, 2θ 34.56, intensity 96.2
- d 3.092, 2θ 28.88, intensity 74.0
- d 2.389, 2θ 37.65, intensity 43.3
- d 4.778, 2θ 18.57, intensity 42.4
- d 2.111, 2θ 42.83, intensity 38.0
- d 1.890, 2θ 48.14, intensity 36.2
- d 3.550, 2θ 25.08, intensity 32.7
- d 1.688, 2θ 54.33, intensity 26.3
- d 3.144, 2θ 28.39, intensity 21.6

---

5.
Theoretical powder XRD pattern of CeBeZn for Cu Kα X-rays, from a structure optimized by DFT (PBE).
Neutral-atom scattering factors, no anomalous dispersion.

Atomic structure:
Lattice parameters (Å, degrees): 4.3879 4.3879 3.3776 90.00 90.00 120.00
Space group P-6m2 (No. 187)
Inequivalent atoms, fractional coordinates:
Ce (0.0000, 0.0000, 0.0000) (multiplicity 1)
Be (0.6667, 0.3333, 0.5000) (multiplicity 1)
Zn (0.3333, 0.6667, 0.5000) (multiplicity 1)

The 10 most intense peaks (2θ from 10° to 90°), most intense first:
- d 2.525, 2θ 35.56, intensity 100.0
- d 3.800, 2θ 23.41, intensity 55.2
- d 2.194, 2θ 41.14, intensity 44.7
- d 1.656, 2θ 55.49, intensity 27.3
- d 1.322, 2θ 71.36, intensity 25.3
- d 1.338, 2θ 70.35, intensity 17.7
- d 1.543, 2θ 59.94, intensity 8.4
- d 1.900, 2θ 47.88, intensity 8.2
- d 1.267, 2θ 74.98, intensity 7.3
- d 1.436, 2θ 64.93, intensity 6.6

---

6.
Theoretical powder XRD pattern of BeCl3 for Cu Kα X-rays, from a structure optimized by DFT (PBE).
Neutral-atom scattering factors, no anomalous dispersion.

Atomic structure:
Lattice parameters (Å, degrees): 6.427 6.427 8.878 90.00 90.00 90.00
Space group I-42d (No. 122)
Inequivalent atoms, fractional coordinates:
Be (0.000, 0.000, 0.000) (multiplicity 4)
Cl (0.000, 0.000, 0.500) (multiplicity 4)
Cl (0.101, 0.750, 0.125) (multiplicity 8)

The 10 most intense peaks (2θ from 10° to 90°), most intense first:
- d 2.734, 2θ 32.75, intensity 100.0
- d 3.175, 2θ 28.10, intensity 77.3
- d 2.688, 2θ 33.33, intensity 32.3
- d 2.603, 2θ 34.46, intensity 25.5
- d 1.826, 2θ 49.94, intensity 15.6
- d 2.032, 2θ 44.58, intensity 15.5
- d 1.848, 2θ 49.31, intensity 14.0
- d 2.062, 2θ 43.91, intensity 13.1
- d 1.511, 2θ 61.37, intensity 11.7
- d 1.499, 2θ 61.90, intensity 10.3

---

7.
Theoretical powder XRD pattern of Be2Cl for Cu Kα X-rays, from a structure optimized by DFT (PBE).
Neutral-atom scattering factors, no anomalous dispersion.

Atomic structure:
Lattice parameters (Å, degrees): 9.751 4.485 4.005 90.00 90.00 90.00
Space group Cmcm (No. 63)
Inequivalent atoms, fractional coordinates:
Be (0.199, 0.164, 0.250) (multiplicity 8)
Cl (0.000, 0.261, 0.250) (multiplicity 4)

The 10 most intense peaks (2θ from 10° to 90°), most intense first:
- d 2.856, 2θ 31.32, intensity 100.0
- d 4.875, 2θ 18.20, intensity 42.5
- d 1.633, 2θ 56.34, intensity 20.9
- d 2.199, 2θ 41.04, intensity 20.5
- d 2.438, 2θ 36.87, intensity 15.2
- d 2.242, 2θ 40.21, intensity 12.7
- d 2.003, 2θ 45.28, intensity 11.6
- d 2.037, 2θ 44.47, intensity 10.1
- d 1.650, 2θ 55.70, intensity 6.9
- d 1.386, 2θ 67.57, intensity 6.5

---

8.
Theoretical powder XRD pattern of Be5Cl for Cu Kα X-rays, from a structure optimized by DFT (PBE).
Neutral-atom scattering factors, no anomalous dispersion.

Atomic structure:
Lattice parameters (Å, degrees): 3.268 3.201 13.965 90.00 90.00 90.00
Space group Amm2 (No. 38)
Inequivalent atoms, fractional coordinates:
Be (0.000, 0.000, 0.000) (multiplicity 2)
Be (0.000, 0.000, 0.200) (multiplicity 2)
Be (0.000, 0.000, 0.597) (multiplicity 2)
Be (0.500, 0.000, 0.104) (multiplicity 2)
Be (0.500, 0.000, 0.494) (multiplicity 2)
Cl (0.500, 0.000, 0.868) (multiplicity 2)

The 10 most intense peaks (2θ from 10° to 90°), most intense first:
- d 6.982, 2θ 12.68, intensity 100.0
- d 2.960, 2θ 30.20, intensity 84.0
- d 2.638, 2θ 33.99, intensity 67.0
- d 3.120, 2θ 28.61, intensity 66.9
- d 1.769, 2θ 51.66, intensity 65.8
- d 2.053, 2θ 44.12, intensity 51.5
- d 2.257, 2θ 39.95, intensity 45.2
- d 3.491, 2θ 25.51, intensity 43.0
- d 2.386, 2θ 37.70, intensity 41.5
- d 3.268, 2θ 27.29, intensity 30.9

---

9.
Theoretical powder XRD pattern of Be5Cl4 for Cu Kα X-rays, from a structure optimized by DFT (PBE).
Neutral-atom scattering factors, no anomalous dispersion.

Atomic structure:
Lattice parameters (Å, degrees): 8.9277 8.9277 4.9552 90.00 90.00 120.00
Space group P6_3/mcm (No. 193)
Inequivalent atoms, fractional coordinates:
Be (0.0000, 0.2165, 0.2500) (multiplicity 6)
Be (0.3333, 0.6667, 0.0000) (multiplicity 4)
Cl (0.0000, 0.0000, 0.0000) (multiplicity 2)
Cl (0.0000, 0.3067, 0.7500) (multiplicity 6)

The 10 most intense peaks (2θ from 10° to 90°), most intense first:
- d 7.732, 2θ 11.45, intensity 100.0
- d 3.317, 2θ 26.88, intensity 63.0
- d 2.577, 2θ 34.81, intensity 47.6
- d 2.166, 2θ 41.69, intensity 26.7
- d 2.035, 2θ 44.52, intensity 17.1
- d 1.658, 2θ 55.41, intensity 10.6
- d 1.597, 2θ 57.72, intensity 10.3
- d 2.144, 2θ 42.14, intensity 7.5
- d 1.933, 2θ 47.01, intensity 6.9
- d 1.395, 2θ 67.12, intensity 6.6

---

10.
Theoretical powder XRD pattern of Be2Cl for Cu Kα X-rays, from a structure optimized by DFT (PBE).
Neutral-atom scattering factors, no anomalous dispersion.

Atomic structure:
Lattice parameters (Å, degrees): 3.483 3.483 8.156 90.00 90.00 90.00
Space group P-42_1m (No. 113)
Inequivalent atoms, fractional coordinates:
Be (0.232, 0.268, 0.079) (multiplicity 4)
Cl (0.000, 0.500, 0.286) (multiplicity 2)

The 10 most intense peaks (2θ from 10° to 90°), most intense first:
- d 3.203, 2θ 27.85, intensity 100.0
- d 4.078, 2θ 21.79, intensity 23.7
- d 2.108, 2θ 42.90, intensity 23.3
- d 2.463, 2θ 36.48, intensity 22.5
- d 1.530, 2θ 60.51, intensity 15.3
- d 2.143, 2θ 42.17, intensity 15.2
- d 1.602, 2θ 57.55, intensity 11.6
- d 1.760, 2θ 51.97, intensity 9.5
- d 2.648, 2θ 33.85, intensity 9.4
- d 1.825, 2θ 49.97, intensity 8.2

---

11.
Theoretical powder XRD pattern of BeCo4Cl for Cu Kα X-rays, from a structure optimized by DFT (PBE).
Neutral-atom scattering factors, no anomalous dispersion.

Atomic structure:
Lattice parameters (Å, degrees): 6.754 6.754 6.754 90.00 90.00 90.00
Space group F-43m (No. 216)
Inequivalent atoms, fractional coordinates:
Be (0.000, 0.000, 0.000) (multiplicity 4)
Co (0.126, 0.126, 0.374) (multiplicity 16)
Cl (0.250, 0.250, 0.750) (multiplicity 4)

The 10 most intense peaks (2θ from 10° to 90°), most intense first:
- d 2.037, 2θ 44.49, intensity 100.0
- d 3.900, 2θ 22.80, intensity 79.6
- d 1.950, 2θ 46.58, intensity 76.4
- d 1.300, 2θ 72.75, intensity 27.3
- d 1.194, 2θ 80.43, intensity 26.8
- d 1.689, 2θ 54.33, intensity 24.4
- d 1.550, 2θ 59.67, intensity 16.0
- d 1.142, 2θ 84.94, intensity 10.4
- d 2.388, 2θ 37.67, intensity 5.9
- d 3.377, 2θ 26.39, intensity 4.6

---

12.
Theoretical powder XRD pattern of Be2CrCl for Cu Kα X-rays, from a structure optimized by DFT (PBE).
Neutral-atom scattering factors, no anomalous dispersion.

Atomic structure:
Lattice parameters (Å, degrees): 3.023 2.951 5.972 90.00 90.09 90.00
Space group P2/m (No. 10)
Inequivalent atoms, fractional coordinates:
Be (0.001, 0.000, 0.201) (multiplicity 2)
Cr (0.500, 0.500, 0.000) (multiplicity 1)
Cl (0.000, 0.500, 0.500) (multiplicity 1)

The 10 most intense peaks (2θ from 10° to 90°), most intense first:
- d 2.697, 2θ 33.22, intensity 100.0
- d 1.991, 2θ 45.56, intensity 88.3
- d 2.099, 2θ 43.10, intensity 60.1
- d 2.986, 2θ 29.93, intensity 57.4
- d 2.951, 2θ 30.28, intensity 52.4
- d 1.662, 2θ 55.26, intensity 26.3
- d 5.972, 2θ 14.84, intensity 22.2
- d 1.448, 2θ 64.31, intensity 20.2
- d 1.226, 2θ 77.89, intensity 17.9
- d 1.295, 2θ 73.10, intensity 15.6

---

13.
Theoretical powder XRD pattern of KBe2CrCl8 for Cu Kα X-rays, from a structure optimized by DFT (PBE).
Neutral-atom scattering factors, no anomalous dispersion.

Atomic structure:
Lattice parameters (Å, degrees): 5.9187 5.9187 29.0993 90.00 90.00 120.00
Space group R-3 (No. 148, hexagonal axes)
Inequivalent atoms, fractional coordinates:
K (0.0000, 0.0000, 0.0000) (multiplicity 3)
Be (0.0000, 0.0000, 0.2371) (multiplicity 6)
Cr (0.0000, 0.0000, 0.5000) (multiplicity 3)
Cl (0.0000, 0.0000, 0.3047) (multiplicity 6)
Cl (0.0058, 0.6561, 0.1183) (multiplicity 18)

The 10 most intense peaks (2θ from 10° to 90°), most intense first:
- d 2.527, 2θ 35.53, intensity 100.0
- d 2.831, 2θ 31.61, intensity 75.1
- d 4.190, 2θ 21.20, intensity 56.2
- d 1.709, 2θ 53.64, intensity 31.5
- d 1.875, 2θ 48.57, intensity 26.5
- d 3.233, 2θ 27.59, intensity 21.3
- d 2.183, 2θ 41.36, intensity 16.7
- d 1.622, 2θ 56.74, intensity 15.0
- d 3.847, 2θ 23.12, intensity 14.0
- d 1.924, 2θ 47.25, intensity 11.5

---

14.
Theoretical powder XRD pattern of RbBe2CrCl8 for Cu Kα X-rays, from a structure optimized by DFT (PBE).
Neutral-atom scattering factors, no anomalous dispersion.

Atomic structure:
Lattice parameters (Å, degrees): 5.9458 5.9458 29.5346 90.00 90.00 120.00
Space group R-3 (No. 148, hexagonal axes)
Inequivalent atoms, fractional coordinates:
Rb (0.0000, 0.0000, 0.0000) (multiplicity 3)
Be (0.0000, 0.0000, 0.2360) (multiplicity 6)
Cr (0.0000, 0.0000, 0.5000) (multiplicity 3)
Cl (0.0000, 0.0000, 0.3025) (multiplicity 6)
Cl (0.0055, 0.3513, 0.1191) (multiplicity 18)

The 10 most intense peaks (2θ from 10° to 90°), most intense first:
- d 4.224, 2θ 21.03, intensity 100.0
- d 2.545, 2θ 35.27, intensity 98.5
- d 2.846, 2θ 31.43, intensity 95.5
- d 1.716, 2θ 53.38, intensity 37.4
- d 2.562, 2θ 35.02, intensity 30.5
- d 3.282, 2θ 27.17, intensity 26.7
- d 1.896, 2θ 47.99, intensity 25.6
- d 4.862, 2θ 18.25, intensity 19.1
- d 2.973, 2θ 30.06, intensity 16.5
- d 4.922, 2θ 18.02, intensity 16.3